For BaSrTiO4, a cell relaxed with GGA-PBE gives the simulated powder XRD pattern in this record (copper Kα).
Intensities are scaled so that the largest is 100.

Crystal structure
a = 3.9904 Å, b = 3.9904 Å, c = 13.1207 Å
α = 90.00°, β = 90.00°, γ = 90.00°
Fractional coordinates of all 14 atoms:
Ba  0.0000  0.0000  0.0000
Ba  0.5000  0.5000  0.5000
Sr  0.0000  0.0000  0.7119
Sr  0.5000  0.5000  0.2119
Ti  0.0000  0.0000  0.3502
Ti  0.5000  0.5000  0.8502
O  0.0000  0.0000  0.2001
O  0.0000  0.0000  0.5055
O  0.0000  0.5000  0.3478
O  0.0000  0.5000  0.8478
O  0.5000  0.0000  0.3478
O  0.5000  0.0000  0.8478
O  0.5000  0.5000  0.0055
O  0.5000  0.5000  0.7001

Peak list (10 most intense, 2θ from 10° to 80°, in order of rising 2θ)
| 2θ (°) | d (Å) | I (rel.) |
| --- | --- | --- |
| 23.3 | 3.818 | 24 |
| 27.2 | 3.280 | 15 |
| 30.3 | 2.948 | 100 |
| 31.7 | 2.822 | 69 |
| 41.3 | 2.187 | 15 |
| 42.2 | 2.139 | 36 |
| 45.5 | 1.995 | 37 |
| 53.0 | 1.728 | 16 |
| 55.6 | 1.652 | 36 |
| 63.1 | 1.474 | 20 |


For BaSrTi4O12, a cell relaxed with GGA-PBE gives the simulated powder XRD pattern in this record (copper Kα).
Intensities are scaled so that the largest is 100.

Crystal structure
a = 5.5674 Å, b = 5.5674 Å, c = 7.8743 Å
α = 90.00°, β = 90.00°, γ = 90.00°
Fractional coordinates of all 18 atoms:
Ba  0.0000  0.0000  0.0000
Sr  0.5000  0.5000  0.5000
Ti  0.0000  0.5000  0.2522
Ti  0.0000  0.5000  0.7478
Ti  0.5000  0.0000  0.2522
Ti  0.5000  0.0000  0.7478
O  0.0000  0.5000  0.0000
O  0.0000  0.5000  0.5000
O  0.2525  0.2525  0.2555
O  0.2525  0.2525  0.7445
O  0.2525  0.7475  0.2555
O  0.2525  0.7475  0.7445
O  0.5000  0.0000  0.0000
O  0.5000  0.0000  0.5000
O  0.7475  0.2525  0.2555
O  0.7475  0.2525  0.7445
O  0.7475  0.7475  0.2555
O  0.7475  0.7475  0.7445

Peak list (10 most intense, 2θ from 10° to 80°, in order of rising 2θ)
| 2θ (°) | d (Å) | I (rel.) |
| --- | --- | --- |
| 19.5 | 4.546 | 95 |
| 32.2 | 2.784 | 100 |
| 37.9 | 2.374 | 52 |
| 46.1 | 1.968 | 53 |
| 50.5 | 1.806 | 23 |
| 57.3 | 1.607 | 38 |
| 61.2 | 1.515 | 17 |
| 67.3 | 1.392 | 29 |
| 70.8 | 1.331 | 17 |
| 76.5 | 1.245 | 16 |


For BaSr2TiO5, a cell relaxed with GGA-PBE gives the simulated powder XRD pattern in this record (copper Kα).
Intensities are scaled so that the largest is 100.

Crystal structure
a = 6.9334 Å, b = 6.9334 Å, c = 6.9334 Å
α = 147.20°, β = 128.32°, γ = 62.57°
Fractional coordinates of all 9 atoms:
Ba  0.0000  0.0000  0.0000
Sr  0.2867  0.7867  0.5000
Sr  0.7133  0.2133  0.5000
Ti  0.5000  0.5000  0.0000
O  0.1447  0.3756  0.7691
O  0.3936  0.6244  0.7691
O  0.5000  0.0000  0.5000
O  0.6064  0.3756  0.2309
O  0.8553  0.6244  0.2309

Peak list (10 most intense, 2θ from 10° to 80°, in order of rising 2θ)
| 2θ (°) | d (Å) | I (rel.) |
| --- | --- | --- |
| 27.0 | 3.306 | 24 |
| 29.6 | 3.022 | 26 |
| 30.2 | 2.963 | 14 |
| 31.1 | 2.874 | 100 |
| 38.4 | 2.345 | 19 |
| 42.7 | 2.115 | 26 |
| 44.7 | 2.028 | 17 |
| 46.4 | 1.958 | 15 |
| 53.4 | 1.715 | 21 |
| 54.5 | 1.684 | 17 |


For Ba2SrTi3O9, a cell relaxed with GGA-PBE gives the simulated powder XRD pattern in this record (copper Kα).
Intensities are scaled so that the largest is 100.

Crystal structure
a = 8.8950 Å, b = 8.8950 Å, c = 4.1334 Å
α = 90.00°, β = 90.00°, γ = 143.08°
Fractional coordinates of all 15 atoms:
Ba  0.1670  0.8330  0.0000
Ba  0.8330  0.1670  0.0000
Sr  0.5000  0.5000  0.9784
Ti  0.0000  0.0000  0.4821
Ti  0.3353  0.6647  0.4818
Ti  0.6647  0.3353  0.4818
O  0.0000  0.0000  0.0392
O  0.0000  0.5000  0.5205
O  0.1709  0.3346  0.5289
O  0.3346  0.1709  0.5289
O  0.3375  0.6625  0.0381
O  0.5000  0.0000  0.5205
O  0.6625  0.3375  0.0381
O  0.6654  0.8291  0.5289
O  0.8291  0.6654  0.5289

Peak list (10 most intense, 2θ from 10° to 80°, in order of rising 2θ)
| 2θ (°) | d (Å) | I (rel.) |
| --- | --- | --- |
| 22.3 | 3.980 | 13 |
| 31.2 | 2.867 | 100 |
| 31.8 | 2.815 | 47 |
| 38.7 | 2.326 | 35 |
| 43.8 | 2.067 | 18 |
| 45.6 | 1.990 | 34 |
| 55.1 | 1.666 | 19 |
| 56.3 | 1.635 | 37 |
| 65.1 | 1.434 | 20 |
| 72.6 | 1.302 | 9 |


Q: What is the formula in the first record?
A: BaSrTiO4


Copy entry 4 word for word.
For Ba2SrTi3O9, a cell relaxed with GGA-PBE gives the simulated powder XRD pattern in this record (copper Kα).
Intensities are scaled so that the largest is 100.

Crystal structure
a = 8.8950 Å, b = 8.8950 Å, c = 4.1334 Å
α = 90.00°, β = 90.00°, γ = 143.08°
Fractional coordinates of all 15 atoms:
Ba  0.1670  0.8330  0.0000
Ba  0.8330  0.1670  0.0000
Sr  0.5000  0.5000  0.9784
Ti  0.0000  0.0000  0.4821
Ti  0.3353  0.6647  0.4818
Ti  0.6647  0.3353  0.4818
O  0.0000  0.0000  0.0392
O  0.0000  0.5000  0.5205
O  0.1709  0.3346  0.5289
O  0.3346  0.1709  0.5289
O  0.3375  0.6625  0.0381
O  0.5000  0.0000  0.5205
O  0.6625  0.3375  0.0381
O  0.6654  0.8291  0.5289
O  0.8291  0.6654  0.5289

Peak list (10 most intense, 2θ from 10° to 80°, in order of rising 2θ)
| 2θ (°) | d (Å) | I (rel.) |
| --- | --- | --- |
| 22.3 | 3.980 | 13 |
| 31.2 | 2.867 | 100 |
| 31.8 | 2.815 | 47 |
| 38.7 | 2.326 | 35 |
| 43.8 | 2.067 | 18 |
| 45.6 | 1.990 | 34 |
| 55.1 | 1.666 | 19 |
| 56.3 | 1.635 | 37 |
| 65.1 | 1.434 | 20 |
| 72.6 | 1.302 | 9 |